This entry pairs a crystal structure of HfZr2Ni3As4Pd with its simulated X-ray powder pattern. Radiation: Cu Kα X-rays. Structure: the GGA-PBE geometry in OQMD.
Peak positions follow from Bragg's law for the DFT cell and can differ from measured ones.

Lattice parameters (Å, degrees): 6.4678 3.8503 7.4738 90.00 90.60 90.00
Space group Pm (No. 6)
One atom of each set of equivalent atoms:
Hf (0.0000, 0.0000, 0.0000) [1 per cell]
Zr (0.4424, 0.5000, 0.4956) [1 per cell]
Zr (0.9419, 0.5000, 0.6309) [1 per cell]
Ni (0.1153, 0.0000, 0.3718) [1 per cell]
Ni (0.3204, 0.5000, 0.8737) [1 per cell]
Ni (0.6156, 0.0000, 0.7587) [1 per cell]
As (0.2386, 0.0000, 0.6931) [1 per cell]
As (0.2449, 0.5000, 0.1846) [1 per cell]
As (0.6951, 0.5000, 0.9319) [1 per cell]
As (0.7256, 0.0000, 0.4417) [1 per cell]
Pd (0.8439, 0.5000, 0.2459) [1 per cell]

Largest 12 diffraction maxima, by angle, 10 to 90 degrees two-theta:
| h k l | 2theta | d [Å] | Rel. int. |
| --- | --- | --- | --- |
| 1 0 0 | 13.69 | 6.467 | 49 |
| 1 0 1 | 18.23 | 4.865 | 31 |
| 1 1 -2 | 36.17 | 2.484 | 56 |
| 1 1 2 | 36.32 | 2.473 | 100 |
| 2 0 2 | 36.95 | 2.433 | 25 |
| 2 1 -1 | 38.20 | 2.356 | 94 |
| 2 1 1 | 38.39 | 2.345 | 58 |
| 1 0 -3 | 38.59 | 2.333 | 26 |
| 0 1 3 | 43.26 | 2.092 | 71 |
| 2 0 -3 | 45.72 | 1.984 | 47 |
| 0 2 0 | 47.21 | 1.925 | 64 |
| 3 0 2 | 49.00 | 1.859 | 25 |


This entry pairs a crystal structure of Hf2ZrNiAs4Pd3 with its simulated X-ray powder pattern. Radiation: Cu Kα X-rays. Structure: the GGA-PBE geometry in OQMD.
Peak positions follow from Bragg's law for the DFT cell and can differ from measured ones.

Lattice parameters (Å, degrees): 6.6257 3.9063 7.5903 90.00 90.22 90.00
Space group Pm (No. 6)
One atom of each set of equivalent atoms:
Hf (0.0000, 0.0000, 0.0000) [1 per cell]
Hf (0.0745, 0.5000, 0.6217) [1 per cell]
Zr (0.5634, 0.5000, 0.4844) [1 per cell]
Ni (0.1564, 0.5000, 0.2506) [1 per cell]
As (0.2807, 0.5000, 0.9509) [1 per cell]
As (0.2919, 0.0000, 0.4008) [1 per cell]
As (0.7655, 0.5000, 0.1832) [1 per cell]
As (0.7843, 0.0000, 0.6820) [1 per cell]
Pd (0.3712, 0.0000, 0.7438) [1 per cell]
Pd (0.6730, 0.5000, 0.8691) [1 per cell]
Pd (0.9046, 0.0000, 0.3676) [1 per cell]

Largest 12 diffraction maxima, by angle, 10 to 90 degrees two-theta:
| h k l | 2theta | d [Å] | Rel. int. |
| --- | --- | --- | --- |
| 0 0 1 | 11.66 | 7.590 | 21 |
| 1 0 0 | 13.36 | 6.626 | 44 |
| 1 1 1 | 29.03 | 3.076 | 34 |
| 2 1 0 | 35.53 | 2.527 | 64 |
| 1 1 2 | 35.68 | 2.517 | 72 |
| 2 1 -1 | 37.51 | 2.398 | 100 |
| 1 0 -3 | 38.02 | 2.367 | 21 |
| 0 1 3 | 42.57 | 2.124 | 55 |
| 1 1 -3 | 44.80 | 2.023 | 30 |
| 0 2 0 | 46.50 | 1.953 | 47 |
| 3 0 -2 | 47.55 | 1.912 | 17 |
| 1 2 -3 | 61.59 | 1.506 | 17 |


This entry pairs a crystal structure of HfZr2NiAs4Pd3 with its simulated X-ray powder pattern. Radiation: Cu Kα X-rays. Structure: the GGA-PBE geometry in OQMD.
Peak positions follow from Bragg's law for the DFT cell and can differ from measured ones.

Lattice parameters (Å, degrees): 6.6059 3.9170 7.6555 90.00 90.18 90.00
Space group Pm (No. 6)
One atom of each set of equivalent atoms:
Hf (0.0000, 0.0000, 0.0000) [1 per cell]
Zr (0.4949, 0.0000, 0.8706) [1 per cell]
Zr (0.9243, 0.5000, 0.3773) [1 per cell]
Ni (0.8288, 0.5000, 0.7484) [1 per cell]
As (0.2128, 0.0000, 0.3186) [1 per cell]
As (0.2131, 0.5000, 0.8057) [1 per cell]
As (0.6963, 0.0000, 0.5752) [1 per cell]
As (0.7165, 0.5000, 0.0509) [1 per cell]
Pd (0.0863, 0.0000, 0.6303) [1 per cell]
Pd (0.3096, 0.5000, 0.1314) [1 per cell]
Pd (0.6092, 0.0000, 0.2551) [1 per cell]

Largest 12 diffraction maxima, by angle, 10 to 90 degrees two-theta:
| h k l | 2theta | d [Å] | Rel. int. |
| --- | --- | --- | --- |
| 0 0 1 | 11.56 | 7.655 | 29 |
| 1 0 0 | 13.40 | 6.606 | 19 |
| 1 1 1 | 28.96 | 3.083 | 15 |
| 2 1 0 | 35.53 | 2.527 | 100 |
| 2 1 -1 | 37.50 | 2.398 | 73 |
| 1 0 -3 | 37.78 | 2.381 | 23 |
| 0 1 3 | 42.27 | 2.138 | 43 |
| 3 0 1 | 42.75 | 2.115 | 14 |
| 1 1 -3 | 44.53 | 2.035 | 30 |
| 0 2 0 | 46.36 | 1.959 | 37 |
| 3 0 -2 | 47.56 | 1.912 | 15 |
| 5 1 -1 | 77.20 | 1.236 | 13 |